This entry pairs a crystal structure of CsLi2AcI6 with its theoretical powder XRD pattern. Radiation: CuKα. Structure: a DFT-relaxed cell (GGA-PBE, Alexandria).
Lines closer than 0.1° are merged.

Cell lengths 7.808, 7.812, 10.462 Å; angles 90.02, 111.84, 119.98 degrees
Positions (direct):
Cs1 0.000 0.000 0.000
Li1 0.336 0.168 0.504
Li2 0.664 0.832 0.496
Ac1 0.000 0.500 0.500
I1 0.126 0.210 0.686
I2 0.230 0.440 0.314
I3 0.475 0.916 0.687
I4 0.525 0.084 0.313
I5 0.770 0.560 0.686
I6 0.874 0.790 0.314

Main lines, low angle first (2θ from 15° to 90°):
2θ 18.13, intensity 34; 2θ 24.67, intensity 95; 2θ 27.11, intensity 20; 2θ 28.37, intensity 16; 2θ 29.68, intensity 100; 2θ 36.66, intensity 26; 2θ 39.99, intensity 44; 2θ 44.85, intensity 29; 2θ 50.58, intensity 21; 2θ 66.35, intensity 18


This entry pairs a crystal structure of Cs2AcMgI6 with its theoretical powder XRD pattern. Radiation: CuKα. Structure: a DFT-relaxed cell (GGA-PBE, Alexandria).
Lines closer than 0.1° are merged.

Cell lengths 9.036, 12.828, 9.156 Å; angles 90.00, 90.00, 90.00 degrees
Positions (direct):
Cs1 0.250 0.023 0.216
Cs2 0.250 0.477 0.216
Cs3 0.750 0.523 0.784
Cs4 0.750 0.977 0.784
Ac1 0.250 0.250 0.734
Ac2 0.750 0.750 0.266
Mg1 0.250 0.750 0.759
Mg2 0.750 0.250 0.241
I1 0.006 0.250 0.471
I2 0.008 0.750 0.014
I3 0.250 0.504 0.768
I4 0.250 0.996 0.768
I5 0.492 0.750 0.014
I6 0.494 0.250 0.471
I7 0.506 0.750 0.529
I8 0.508 0.250 0.986
I9 0.750 0.004 0.232
I10 0.750 0.496 0.232
I11 0.992 0.250 0.986
I12 0.994 0.750 0.529

Main lines, low angle first (2θ from 15° to 90°):
2θ 19.55, intensity 12; 2θ 22.98, intensity 11; 2θ 23.88, intensity 34; 2θ 24.09, intensity 38; 2θ 27.77, intensity 100; 2θ 39.69, intensity 47; 2θ 39.91, intensity 13; 2θ 47.04, intensity 15; 2θ 49.35, intensity 14; 2θ 64.88, intensity 11


This entry pairs a crystal structure of CsAcPmI6 with its theoretical powder XRD pattern. Radiation: CuKα. Structure: a DFT-relaxed cell (GGA-PBE, Alexandria).
Lines closer than 0.1° are merged.

Cell lengths 11.500, 11.500, 11.500 Å; angles 126.71, 117.39, 86.68 degrees
Positions (direct):
Cs1 0.360 0.110 0.250
Cs2 0.640 0.890 0.750
Ac1 0.000 0.000 0.500
Ac2 0.000 0.500 0.000
Pm1 0.000 0.500 0.500
Pm2 0.500 0.500 0.000
I1 0.112 0.419 0.267
I2 0.112 0.846 0.693
I3 0.125 0.875 0.250
I4 0.291 0.541 0.750
I5 0.348 0.154 0.767
I6 0.348 0.581 0.193
I7 0.652 0.419 0.807
I8 0.652 0.846 0.233
I9 0.709 0.459 0.250
I10 0.875 0.125 0.750
I11 0.888 0.154 0.307
I12 0.888 0.581 0.733

Main lines, low angle first (2θ from 15° to 90°):
2θ 17.96, intensity 35; 2θ 19.48, intensity 28; 2θ 20.23, intensity 46; 2θ 22.78, intensity 24; 2θ 29.91, intensity 42; 2θ 30.55, intensity 23; 2θ 31.35, intensity 100; 2θ 34.79, intensity 22; 2θ 39.26, intensity 22; 2θ 43.27, intensity 27


This entry pairs a crystal structure of CsAcSeI2 with its theoretical powder XRD pattern. Radiation: CuKα. Structure: a DFT-relaxed cell (GGA-PBE, Alexandria).
Lines closer than 0.1° are merged.

Cell lengths 6.622, 6.622, 5.902 Å; angles 90.00, 90.00, 90.00 degrees
Positions (direct):
Cs1 0.000 0.000 0.000
Ac1 0.500 0.500 0.501
Se1 0.500 0.500 0.001
I1 0.000 0.500 0.499
I2 0.500 0.000 0.499

Main lines, low angle first (2θ from 15° to 90°):
2θ 15.01, intensity 29; 2θ 20.16, intensity 62; 2θ 24.26, intensity 34; 2θ 26.93, intensity 100; 2θ 30.29, intensity 37; 2θ 33.87, intensity 35; 2θ 38.45, intensity 39; 2θ 40.97, intensity 67; 2θ 49.71, intensity 39; 2θ 71.25, intensity 27


This entry pairs a crystal structure of Cs4Ac3InTe8 with its theoretical powder XRD pattern. Radiation: CuKα. Structure: a DFT-relaxed cell (GGA-PBE, Alexandria).
Lines closer than 0.1° are merged.

Cell lengths 10.587, 10.587, 10.587 Å; angles 54.14, 54.14, 54.14 degrees
Positions (direct):
Cs1 0.000 0.000 0.000
Cs2 0.000 0.500 0.500
Cs3 0.500 0.000 0.500
Cs4 0.500 0.500 0.000
Ac1 0.000 0.000 0.500
Ac2 0.000 0.500 0.000
Ac3 0.500 0.000 0.000
In1 0.500 0.500 0.500
Te1 0.235 0.235 0.235
Te2 0.251 0.722 0.722
Te3 0.278 0.278 0.749
Te4 0.278 0.749 0.278
Te5 0.722 0.251 0.722
Te6 0.722 0.722 0.251
Te7 0.749 0.278 0.278
Te8 0.765 0.765 0.765

Main lines, low angle first (2θ from 15° to 90°):
2θ 25.09, intensity 100; 2θ 31.58, intensity 10; 2θ 34.15, intensity 35; 2θ 37.33, intensity 38; 2θ 42.71, intensity 7; 2θ 45.51, intensity 20; 2θ 51.49, intensity 11; 2θ 55.89, intensity 11; 2θ 60.27, intensity 17; 2θ 65.30, intensity 10


This entry pairs a crystal structure of CsAcIrO4 with its theoretical powder XRD pattern. Radiation: CuKα. Structure: a DFT-relaxed cell (GGA-PBE, Alexandria).
Lines closer than 0.1° are merged.

Cell lengths 7.117, 7.117, 7.117 Å; angles 123.94, 111.89, 93.94 degrees
Positions (direct):
Cs1 0.402 0.152 0.250
Cs2 0.598 0.848 0.750
Ac1 0.000 0.500 0.500
Ac2 0.500 0.500 0.000
Ir1 0.000 0.000 0.500
Ir2 0.000 0.500 0.000
O1 0.154 0.249 0.905
O2 0.157 0.751 0.405
O3 0.212 0.243 0.531
O4 0.212 0.681 0.969
O5 0.788 0.319 0.031
O6 0.788 0.757 0.469
O7 0.843 0.249 0.595
O8 0.846 0.751 0.095

Main lines, low angle first (2θ from 15° to 90°):
2θ 16.09, intensity 48; 2θ 27.63, intensity 100; 2θ 28.98, intensity 89; 2θ 30.41, intensity 76; 2θ 30.68, intensity 57; 2θ 32.51, intensity 36; 2θ 35.03, intensity 35; 2θ 44.54, intensity 37; 2θ 47.67, intensity 27; 2θ 51.88, intensity 62


This entry pairs a crystal structure of CsLiAcO3 with its theoretical powder XRD pattern. Radiation: CuKα. Structure: a DFT-relaxed cell (GGA-PBE, Alexandria).
Lines closer than 0.1° are merged.

Cell lengths 4.951, 4.951, 4.951 Å; angles 82.38, 82.38, 82.38 degrees
Positions (direct):
Cs1 0.000 0.000 0.000
Li1 0.314 0.314 0.314
Ac1 0.599 0.599 0.599
O1 0.089 0.553 0.553
O2 0.553 0.089 0.553
O3 0.553 0.553 0.089

Main lines, low angle first (2θ from 15° to 90°):
2θ 18.21, intensity 46; 2θ 24.27, intensity 83; 2θ 27.36, intensity 100; 2θ 27.75, intensity 21; 2θ 36.89, intensity 44; 2θ 39.36, intensity 59; 2θ 46.53, intensity 30; 2θ 48.36, intensity 22; 2θ 49.96, intensity 22; 2θ 56.67, intensity 21


This entry pairs a crystal structure of Cs3Ac2MgSe6 with its theoretical powder XRD pattern. Radiation: CuKα. Structure: a DFT-relaxed cell (GGA-PBE, Alexandria).
Lines closer than 0.1° are merged.

Cell lengths 7.779, 7.779, 8.823 Å; angles 98.49, 98.49, 120.08 degrees
Positions (direct):
Cs1 0.000 0.000 0.000
Cs2 0.331 0.669 0.000
Cs3 0.669 0.331 0.000
Ac1 0.166 0.834 0.500
Ac2 0.834 0.166 0.500
Mg1 0.500 0.500 0.500
Se1 0.125 0.437 0.310
Se2 0.252 0.252 0.692
Se3 0.437 0.125 0.310
Se4 0.563 0.875 0.690
Se5 0.748 0.748 0.308
Se6 0.875 0.563 0.690

Main lines, low angle first (2θ from 15° to 90°):
2θ 21.08, intensity 9; 2θ 23.94, intensity 13; 2θ 26.92, intensity 100; 2θ 36.64, intensity 34; 2θ 40.17, intensity 36; 2θ 42.65, intensity 9; 2θ 45.79, intensity 9; 2θ 48.99, intensity 12; 2θ 55.49, intensity 10; 2θ 65.17, intensity 16